The following is a theoretical X-ray powder pattern of Ga12Mo. It was derived from a structure optimized by DFT (GGA-PBE), using Cu Kα X-rays.
No peak broadening, texture or thermal motion is included.

Most intense lines, 2θ = 5–70°, by angle:
| d/Å | two_theta | I (rel.) |
| --- | --- | --- |
| 5.402 | 16.41 | 7 |
| 2.701 | 33.17 | 11 |
| 2.416 | 37.22 | 100 |
| 2.205 | 40.92 | 42 |
| 2.042 | 44.37 | 75 |
| 1.910 | 47.61 | 11 |
| 1.559 | 59.25 | 8 |
| 1.498 | 61.93 | 12 |

a b c (Å): 6.616 6.616 6.616
angles (deg): 109.47 109.47 109.47
Positions (direct):
Ga: 0.123 0.812 0.311
Ga: 0.188 0.311 0.499
Ga: 0.188 0.689 0.877
Ga: 0.311 0.123 0.812
Ga: 0.311 0.499 0.188
Ga: 0.499 0.188 0.311
Ga: 0.501 0.812 0.689
Ga: 0.689 0.501 0.812
Ga: 0.689 0.877 0.188
Ga: 0.812 0.311 0.123
Ga: 0.812 0.689 0.501
Ga: 0.877 0.188 0.689
Mo: 0.000 0.000 0.000